Entry 1:
Theoretical XRD peak list of KRbMg6 for λ = 1.5418 Å (Cu Kα), from a DFT-relaxed cell (PBE, the Materials Project).
Kinematic intensities with the Lorentz-polarization factor, no thermal factor.

Crystal structure
Cell: 5.207 8.362 8.362 Å, 46.68 90.00 90.00°
Positions (direct):
K  0.000  0.000  0.000
Rb  0.000  0.502  0.502
Mg  0.000  0.494  0.993
Mg  0.000  0.993  0.494
Mg  0.500  0.103  0.608
Mg  0.500  0.178  0.178
Mg  0.500  0.608  0.103
Mg  0.500  0.683  0.683

Peak list (10 most intense, 2θ from 10° to 80°, by angle)
2theta  d (Å)  I (rel.)
20.61  4.309  58
23.17  3.839  23
28.90  3.090  90
29.36  3.042  52
34.14  2.626  100
34.45  2.603  40
44.75  2.025  18
45.88  1.978  29
48.21  1.888  23
58.34  1.582  22



Entry 2:
Theoretical XRD peak list of TmFe4Ge2 for λ = 1.5418 Å (Cu Kα), from a DFT-relaxed cell (PBE, the Materials Project).
Kinematic intensities with the Lorentz-polarization factor, no thermal factor.

Crystal structure
Cell: 7.148 7.148 3.830 Å, 90.00 90.00 90.00°
Positions (direct):
Tm  0.000  0.000  0.000
Tm  0.500  0.500  0.500
Fe  0.087  0.360  0.500
Fe  0.140  0.587  0.000
Fe  0.360  0.087  0.500
Fe  0.413  0.860  0.000
Fe  0.587  0.140  0.000
Fe  0.640  0.913  0.500
Fe  0.860  0.413  0.000
Fe  0.913  0.640  0.500
Ge  0.216  0.784  0.500
Ge  0.284  0.284  0.000
Ge  0.716  0.716  0.000
Ge  0.784  0.216  0.500

Peak list (10 most intense, 2θ from 10° to 80°, by angle)
2theta  d (Å)  I (rel.)
26.40  3.376  22
35.52  2.527  32
36.62  2.454  100
39.88  2.260  37
42.87  2.109  27
46.66  1.947  44
47.48  1.915  29
58.44  1.579  16
63.69  1.461  18
70.29  1.339  19



Entry 3:
Theoretical XRD peak list of SrH4O3 for λ = 1.5418 Å (Cu Kα), from a DFT-relaxed cell (PBE, the Materials Project).
Kinematic intensities with the Lorentz-polarization factor, no thermal factor.

Crystal structure
Cell: 3.937 5.680 7.576 Å, 90.32 92.47 93.91°
Positions (direct):
Sr  0.000  0.000  0.000
Sr  0.009  0.271  0.482
H  0.215  0.744  0.362
H  0.326  0.599  0.855
H  0.469  0.908  0.727
H  0.496  0.038  0.260
H  0.506  0.453  0.282
H  0.618  0.186  0.729
H  0.792  0.488  0.843
H  0.801  0.735  0.362
O  0.016  0.846  0.337
O  0.470  0.745  0.883
O  0.481  0.063  0.650
O  0.507  0.550  0.392
O  0.534  0.168  0.179
O  0.926  0.358  0.807

Peak list (10 most intense, 2θ from 10° to 80°, by angle)
2theta  d (Å)  I (rel.)
15.64  5.667  100
19.49  4.555  69
19.65  4.518  66
22.66  3.924  55
23.51  3.785  60
28.51  3.131  49
32.13  2.785  41
33.64  2.664  61
36.51  2.461  36
39.54  2.279  39